1.
Diffraction record for TbZn3. The powder XRD pattern is simulated, not measured: it uses a DFT-relaxed cell (PBE, Alexandria) and CuKα.
Neutral-atom scattering factors, no anomalous dispersion.

Cell and atoms:
```
TbZn3
1.0
6.702 0.000 0.000
0.000 4.405 0.000
0.000 0.000 10.100
Tb Zn
4 12
direct
0.220 0.250 0.160
0.280 0.750 0.660
0.720 0.250 0.340
0.780 0.750 0.840
0.035 0.750 0.395
0.084 0.250 0.852
0.219 0.750 0.955
0.281 0.250 0.455
0.416 0.750 0.352
0.465 0.250 0.895
0.535 0.750 0.105
0.584 0.250 0.648
0.719 0.750 0.545
0.781 0.250 0.045
0.916 0.750 0.148
0.965 0.250 0.605
```

The 10 most intense peaks (2θ = 15–90°), in order of rising 2θ:
| d [Å] | 2θ/deg | I_rel |
| --- | --- | --- |
| 4.036 | 22.03 | 16.2 |
| 2.579 | 34.79 | 84.6 |
| 2.525 | 35.56 | 16.8 |
| 2.484 | 36.16 | 100.0 |
| 2.362 | 38.10 | 29.7 |
| 2.203 | 40.97 | 42.2 |
| 2.091 | 43.28 | 20.1 |
| 2.043 | 44.34 | 19.3 |
| 1.611 | 57.18 | 19.8 |
| 1.333 | 70.67 | 21.0 |

2.
Diffraction record for Tb6Zn23. The powder XRD pattern is simulated, not measured: it uses a DFT-relaxed cell (PBE, Alexandria) and CuKα.
Neutral-atom scattering factors, no anomalous dispersion.

Cell and atoms:
```
Tb6Zn23
1.0
0.000 6.360 6.360
6.360 0.000 6.360
6.360 6.360 0.000
Tb Zn
6 23
direct
0.209 0.209 0.791
0.209 0.791 0.209
0.209 0.791 0.791
0.791 0.209 0.209
0.791 0.209 0.791
0.791 0.791 0.209
0.000 0.000 0.500
0.000 0.500 0.000
0.000 0.500 0.500
0.130 0.623 0.623
0.172 0.172 0.172
0.172 0.172 0.485
0.172 0.485 0.172
0.377 0.377 0.377
0.377 0.377 0.870
0.377 0.870 0.377
0.485 0.172 0.172
0.500 0.000 0.000
0.500 0.000 0.500
0.500 0.500 0.000
0.500 0.500 0.500
0.515 0.828 0.828
0.623 0.130 0.623
0.623 0.623 0.130
0.623 0.623 0.623
0.828 0.515 0.828
0.828 0.828 0.515
0.828 0.828 0.828
0.870 0.377 0.377
```

The 10 most intense peaks (2θ = 15–90°), in order of rising 2θ:
| d [Å] | 2θ/deg | I_rel |
| --- | --- | --- |
| 3.672 | 24.24 | 13.2 |
| 2.918 | 30.64 | 16.4 |
| 2.596 | 34.55 | 26.0 |
| 2.448 | 36.71 | 70.7 |
| 2.248 | 40.10 | 100.0 |
| 2.120 | 42.65 | 15.5 |
| 1.554 | 59.49 | 13.2 |
| 1.499 | 61.90 | 18.8 |
| 1.298 | 72.86 | 13.5 |
| 1.278 | 74.18 | 15.8 |